Tm3Sb2C: theoretical XRD peak list (Cu Kα (weighted mean of Kα1 and Kα2)), based on a crystal structure in Alexandria, relaxed with PBE.

Main lines, in order of rising 2θ (2θ = 10–90°):
| d_spacing | 2θ (°) | intensity |
| --- | --- | --- |
| 3.182 | 28.04 | 18.0 |
| 3.141 | 28.41 | 18.3 |
| 2.886 | 30.98 | 100.0 |
| 2.869 | 31.18 | 37.1 |
| 2.402 | 37.44 | 21.5 |
| 2.355 | 38.21 | 23.3 |
| 2.177 | 41.48 | 18.9 |
| 1.917 | 47.42 | 29.2 |

Structure:
Cell: 7.205 7.205 6.538 Å, 100.07 100.07 114.72°
Fractional coordinates of all 12 atoms:
Tm 0.000 0.500 0.500
Tm 0.107 0.245 0.004
Tm 0.245 0.107 0.504
Tm 0.500 0.000 0.000
Tm 0.755 0.893 0.496
Tm 0.893 0.755 0.996
Sb 0.275 0.725 0.250
Sb 0.426 0.574 0.750
Sb 0.574 0.426 0.250
Sb 0.725 0.275 0.750
C 0.066 0.934 0.750
C 0.934 0.066 0.250